Simulated powder diffraction line list of Tc4OsW for Cu Kα (weighted mean of Kα1 and Kα2), from a structure optimized by DFT (PBE).

The 10 most intense peaks (15° ≤ 2θ ≤ 90°), in order of falling intensity:
- 2θ 41.9, rel. 100, (3 1 1)
- 2θ 35.5, rel. 50, (2 2 0)
- 2θ 68.2, rel. 31, (5 1 1)
- 2θ 75.2, rel. 25, (4 4 0)
- 2θ 43.9, rel. 22, (2 2 2)
- 2θ 63.8, rel. 19, (4 2 2)
- 2θ 86.1, rel. 8, (6 2 0)
- 2θ 21.5, rel. 3, (1 1 1)
- 2θ 56.1, rel. 1, (3 3 1)
- 2θ 79.3, rel. 1, (5 3 1)

a = 7.145 Å, b = 7.145 Å, c = 7.145 Å
α = 90.00°, β = 90.00°, γ = 90.00°
Space group F-43m (No. 216)
One atom of each set of equivalent atoms:
Tc  0.124  0.124  0.376 [16 per cell]
Os  0.250  0.250  0.750 [4 per cell]
W  0.000  0.000  0.000 [4 per cell]